# 1
Diffraction record for NpGe6Mo5. The powder X-ray diffraction pattern is computed, not measured: it uses a GGA-PBE-relaxed structure and Cu Kα X-rays.
Lines closer than 0.1° are merged.

Crystal structure
```
NpGe6Mo5
1.0
2.252 -6.785 0.000
2.252 6.785 0.000
-0.012 0.000 6.542
Np Ge Mo
1 6 5
Cartesian
0.000 0.000 0.000
2.246 4.462 1.838
2.246 4.462 4.704
2.249 0.000 1.811
2.244 0.000 4.730
2.246 -4.462 1.838
2.246 -4.462 4.704
-0.006 0.000 3.271
2.252 2.631 0.000
2.246 2.285 3.271
2.246 -2.285 3.271
2.252 -2.631 0.000
```

Principal peaks in the range 2θ from 10° to 80°, sorted by position:
d = 3.578 Å, 2θ 24.9, I 7; d = 2.284 Å, 2θ 39.4, I 100; d = 2.262 Å, 2θ 39.9, I 22; d = 2.252 Å, 2θ 40.0, I 26; d = 1.635 Å, 2θ 56.3, I 8; d = 1.596 Å, 2θ 57.8, I 15; d = 1.325 Å, 2θ 71.2, I 10; d = 1.310 Å, 2θ 72.1, I 12; d = 1.307 Å, 2θ 72.3, I 8; d = 1.306 Å, 2θ 72.4, I 8



# 2
Diffraction record for Pm5Os2Cl2. The powder X-ray diffraction pattern is computed, not measured: it uses a GGA-PBE-relaxed structure and Cu Kα X-rays.
Lines closer than 0.1° are merged.

Crystal structure
```
Pm5Os2Cl2
1.0
7.667 -4.012 0.000
7.667 4.012 0.000
0.000 0.000 8.009
Pm Os Cl
10 4 4
Cartesian
0.000 0.000 0.000
5.901 2.761 5.213
5.901 1.251 1.209
9.433 2.761 5.213
9.433 1.251 1.209
7.667 0.000 4.004
5.901 -1.251 6.800
5.901 -2.761 2.795
9.433 -1.251 6.800
9.433 -2.761 2.795
7.667 2.891 2.878
7.667 1.121 6.882
7.667 -1.121 1.127
7.667 -2.891 5.131
3.230 0.000 0.000
4.437 0.000 4.004
10.897 0.000 4.004
12.104 0.000 0.000
```

Principal peaks in the range 2θ from 10° to 80°, sorted by position:
d = 7.667 Å, 2θ 11.5, I 100; d = 2.934 Å, 2θ 30.5, I 46; d = 2.771 Å, 2θ 32.3, I 13; d = 2.619 Å, 2θ 34.2, I 58; d = 2.501 Å, 2θ 35.9, I 76; d = 2.330 Å, 2θ 38.6, I 39; d = 1.917 Å, 2θ 47.4, I 12; d = 1.875 Å, 2θ 48.5, I 12; d = 1.414 Å, 2θ 66.1, I 18; d = 1.387 Å, 2θ 67.6, I 15



# 3
Diffraction record for CeDy3Pt8. The powder X-ray diffraction pattern is computed, not measured: it uses a GGA-PBE-relaxed structure and Cu Kα X-rays.
Lines closer than 0.1° are merged.

Crystal structure
```
CeDy3Pt8
1.0
5.461 0.000 0.000
-2.730 4.729 0.000
0.000 0.000 8.923
Ce Dy Pt
1 3 8
Cartesian
0.000 0.000 0.000
0.000 0.000 3.347
2.730 1.576 4.459
2.730 1.576 7.732
0.000 1.558 6.106
-1.381 3.950 6.106
0.000 3.153 3.870
0.000 3.153 8.344
2.730 0.023 1.660
1.385 2.353 1.660
1.381 3.950 6.106
4.076 2.353 1.660
```

Principal peaks in the range 2θ from 10° to 80°, sorted by position:
d = 2.730 Å, 2θ 32.8, I 21; d = 2.518 Å, 2θ 35.7, I 63; d = 2.329 Å, 2θ 38.7, I 100; d = 2.286 Å, 2θ 39.4, I 97; d = 2.231 Å, 2θ 40.4, I 23; d = 2.089 Å, 2θ 43.3, I 29; d = 1.532 Å, 2θ 60.4, I 25; d = 1.486 Å, 2θ 62.5, I 29; d = 1.424 Å, 2θ 65.5, I 33; d = 1.365 Å, 2θ 68.8, I 30



# 4
Diffraction record for Nd7Hg3. The powder X-ray diffraction pattern is computed, not measured: it uses a GGA-PBE-relaxed structure and Cu Kα X-rays.
Lines closer than 0.1° are merged.

Crystal structure
```
Nd7Hg3
1.0
10.576 0.000 0.000
-5.288 9.159 0.000
0.000 0.000 6.646
Nd Hg
14 6
Cartesian
-2.136 4.873 0.000
0.000 2.311 4.909
-3.286 8.003 4.909
2.001 1.156 1.586
0.000 6.106 3.901
2.136 4.873 0.000
0.000 8.572 0.000
5.288 0.586 3.323
3.152 4.286 3.323
5.288 3.053 0.578
3.286 8.003 4.909
8.574 1.156 1.586
5.288 6.848 1.586
7.424 4.286 3.323
0.000 3.603 1.948
-2.167 7.357 1.948
3.120 1.802 5.271
2.167 7.357 1.948
7.455 1.802 5.271
5.288 5.556 5.271
```

Principal peaks in the range 2θ from 10° to 80°, sorted by position:
d = 3.124 Å, 2θ 28.6, I 27; d = 3.070 Å, 2θ 29.1, I 66; d = 3.053 Å, 2θ 29.3, I 24; d = 2.774 Å, 2θ 32.3, I 100; d = 2.689 Å, 2θ 33.3, I 69; d = 2.644 Å, 2θ 33.9, I 55; d = 2.397 Å, 2θ 37.5, I 28; d = 1.914 Å, 2θ 47.5, I 24; d = 1.524 Å, 2θ 60.8, I 28; d = 1.432 Å, 2θ 65.1, I 25



# 5
Diffraction record for AcAl3Si3. The powder X-ray diffraction pattern is computed, not measured: it uses a GGA-PBE-relaxed structure and Cu Kα X-rays.
Lines closer than 0.1° are merged.

Crystal structure
```
AcAl3Si3
1.0
3.621 2.091 7.427
-3.621 2.091 7.427
0.000 -4.182 7.427
Ac Al Si
2 6 6
Cartesian
0.000 0.000 3.701
0.000 0.000 18.580
-2.435 0.005 8.358
-1.222 -2.107 13.924
1.213 -2.112 8.358
-1.213 2.112 13.924
1.222 2.107 8.358
2.435 -0.005 13.924
-1.186 -2.051 9.111
-2.369 0.001 13.170
-1.184 2.052 9.111
1.184 -2.052 13.170
2.369 -0.001 9.111
1.186 2.051 13.170
```

Principal peaks in the range 2θ from 10° to 80°, sorted by position:
d = 7.427 Å, 2θ 11.9, I 33; d = 6.038 Å, 2θ 14.7, I 39; d = 5.466 Å, 2θ 16.2, I 30; d = 4.165 Å, 2θ 21.3, I 18; d = 3.626 Å, 2θ 24.6, I 29; d = 3.255 Å, 2θ 27.4, I 100; d = 2.593 Å, 2θ 34.6, I 59; d = 2.091 Å, 2θ 43.3, I 38; d = 2.044 Å, 2θ 44.3, I 18; d = 1.597 Å, 2θ 57.7, I 19